# 1
Calculated PXRD pattern
Compound: SrIF6
Radiation: CuKα
Structure: a DFT-relaxed cell (GGA-PBE, Alexandria)

Crystal structure
Cell lengths 5.9767, 7.5996, 5.7077 Å; angles 90.00, 96.65, 90.00 degrees
Fractional positions:
Sr 0.0000 0.0000 0.0000
Sr 0.5000 0.5000 0.0000
I 0.0000 0.5000 0.5000
I 0.5000 0.0000 0.5000
F 0.1626 0.3361 0.7907
F 0.1626 0.6639 0.7907
F 0.2045 0.0000 0.6368
F 0.2955 0.5000 0.3632
F 0.3374 0.1639 0.2093
F 0.3374 0.8361 0.2093
F 0.6626 0.1639 0.7907
F 0.6626 0.8361 0.7907
F 0.7045 0.5000 0.6368
F 0.7955 0.0000 0.3632
F 0.8374 0.3361 0.2093
F 0.8374 0.6639 0.2093

Peak list (12 most intense, 10 to 90 degrees two-theta, most intense first)
| 2θ/deg | I_rel |
| --- | --- |
| 23.5 | 100 |
| 25.8 | 72 |
| 23.4 | 56 |
| 42.6 | 45 |
| 39.7 | 34 |
| 38.5 | 25 |
| 48.4 | 23 |
| 48.1 | 20 |
| 54.0 | 18 |
| 41.4 | 15 |
| 52.1 | 13 |
| 30.1 | 13 |

# 2
Calculated PXRD pattern
Compound: TiTl2I4F2
Radiation: CuKα
Structure: a DFT-relaxed cell (GGA-PBE, Alexandria)

Crystal structure
Cell lengths 7.2026, 7.2026, 6.8122 Å; angles 97.36, 97.36, 69.25 degrees
Fractional positions:
Ti 0.0000 0.0000 0.0000
Tl 0.3488 0.3488 0.1408
Tl 0.6512 0.6512 0.8592
I 0.1320 0.6480 0.7474
I 0.3520 0.8680 0.2526
I 0.6480 0.1320 0.7474
I 0.8680 0.3520 0.2526
F 0.1227 0.1227 0.8655
F 0.8773 0.8773 0.1345

Peak list (12 most intense, 10 to 90 degrees two-theta, most intense first)
| 2θ/deg | I_rel |
| --- | --- |
| 28.6 | 100 |
| 30.8 | 65 |
| 13.2 | 50 |
| 19.5 | 31 |
| 30.5 | 30 |
| 26.5 | 25 |
| 25.3 | 25 |
| 59.4 | 21 |
| 37.5 | 19 |
| 44.3 | 18 |
| 25.5 | 18 |
| 26.9 | 18 |

# 3
Calculated PXRD pattern
Compound: Tl2IF
Radiation: CuKα
Structure: a DFT-relaxed cell (GGA-PBE, Alexandria)

Crystal structure
Cell lengths 8.4722, 8.4722, 10.2604 Å; angles 90.00, 90.00, 128.79 degrees
Fractional positions:
Tl 0.0956 0.4044 0.7500
Tl 0.1100 0.8900 0.8975
Tl 0.3900 0.6100 0.3975
Tl 0.4044 0.0956 0.2500
Tl 0.5956 0.9044 0.7500
Tl 0.6100 0.3900 0.6025
Tl 0.8900 0.1100 0.1025
Tl 0.9044 0.5956 0.2500
I 0.1621 0.8379 0.5529
I 0.3379 0.6621 0.0529
I 0.6621 0.3379 0.9471
I 0.8379 0.1621 0.4471
F 0.0561 0.9439 0.1423
F 0.4439 0.5561 0.6423
F 0.5561 0.4439 0.3577
F 0.9439 0.0561 0.8577

Peak list (12 most intense, 10 to 90 degrees two-theta, most intense first)
| 2θ/deg | I_rel |
| --- | --- |
| 28.4 | 100 |
| 28.6 | 95 |
| 23.3 | 61 |
| 30.0 | 49 |
| 46.9 | 30 |
| 38.3 | 30 |
| 58.4 | 26 |
| 32.9 | 25 |
| 27.5 | 20 |
| 43.1 | 19 |
| 16.0 | 18 |
| 49.5 | 18 |